The following is a theoretical powder diffractogram of KNaMnSi4O10. It was derived from a GGA+U-relaxed structure, using Cu Kα, 1.54184 Å.

Crystal structure
Cell lengths 7.0669, 8.3191, 10.1111 Å; angles 105.75, 99.61, 114.37 degrees
Fractional coordinates of all 34 atoms:
K 0.1577 0.2992 0.4897
K 0.8423 0.7008 0.5103
Na 0.1639 0.6376 0.9107
Na 0.8361 0.3624 0.0893
Mn 0.3419 0.3936 0.0929
Mn 0.6581 0.6064 0.9071
Si 0.0630 0.8639 0.2304
Si 0.2929 0.6765 0.3682
Si 0.3711 0.1384 0.7686
Si 0.4639 0.8001 0.7114
Si 0.5361 0.1999 0.2886
Si 0.6289 0.8616 0.2314
Si 0.7071 0.3235 0.6318
Si 0.9370 0.1361 0.7696
O 0.0316 0.2744 0.9364
O 0.1101 0.0762 0.7069
O 0.1232 0.7617 0.3381
O 0.1967 0.4620 0.2583
O 0.2771 0.0731 0.2724
O 0.3234 0.6872 0.5362
O 0.3752 0.9475 0.7842
O 0.4224 0.6433 0.7814
O 0.4645 0.1755 0.6341
O 0.4980 0.6760 0.0834
O 0.5020 0.3240 0.9166
O 0.5355 0.8245 0.3659
O 0.5776 0.3567 0.2186
O 0.6248 0.0525 0.2158
O 0.6766 0.3128 0.4638
O 0.7229 0.9269 0.7276
O 0.8033 0.5380 0.7417
O 0.8768 0.2383 0.6619
O 0.8899 0.9238 0.2931
O 0.9684 0.7256 0.0636

Main lines, sorted by position (2θ from 10° to 80°):
d = 7.008 Å, 2θ 12.6, rel. 82
d = 4.136 Å, 2θ 21.5, rel. 46
d = 3.504 Å, 2θ 25.4, rel. 100
d = 3.319 Å, 2θ 26.9, rel. 89
d = 3.082 Å, 2θ 29.0, rel. 67
d = 3.045 Å, 2θ 29.3, rel. 63
d = 2.930 Å, 2θ 30.5, rel. 49
d = 2.540 Å, 2θ 35.3, rel. 37
d = 2.502 Å, 2θ 35.9, rel. 60
d = 1.767 Å, 2θ 51.7, rel. 40

The following is a theoretical powder diffractogram of KSrNdMnO6. It was derived from a GGA+U-relaxed structure, using Cu Kα, 1.54184 Å.

Crystal structure
Cell lengths 8.4149, 8.4266, 8.4332 Å; angles 90.00, 90.00, 90.00 degrees
Fractional coordinates of all 40 atoms:
K 0.2500 0.2500 0.2500
K 0.2500 0.7500 0.2500
K 0.7500 0.2500 0.7500
K 0.7500 0.7500 0.7500
Sr 0.2500 0.2500 0.7500
Sr 0.2500 0.7500 0.7500
Sr 0.7500 0.2500 0.2500
Sr 0.7500 0.7500 0.2500
Nd 0.0000 0.0000 0.0000
Nd 0.0000 0.5000 0.5000
Nd 0.5000 0.0000 0.5000
Nd 0.5000 0.5000 0.0000
Mn 0.0000 0.0000 0.5000
Mn 0.0000 0.5000 0.0000
Mn 0.5000 0.0000 0.0000
Mn 0.5000 0.5000 0.5000
O 0.0031 0.0114 0.7263
O 0.0031 0.4886 0.7737
O 0.0096 0.2251 0.4909
O 0.0096 0.2749 0.0091
O 0.2271 0.5107 0.9744
O 0.2271 0.9893 0.5256
O 0.2729 0.5107 0.5256
O 0.2729 0.9893 0.9744
O 0.4904 0.2251 0.0091
O 0.4904 0.2749 0.4909
O 0.4969 0.0114 0.7737
O 0.4969 0.4886 0.7263
O 0.5031 0.5114 0.2737
O 0.5031 0.9886 0.2263
O 0.5096 0.7251 0.5091
O 0.5096 0.7749 0.9909
O 0.7271 0.0107 0.0256
O 0.7271 0.4893 0.4744
O 0.7729 0.0107 0.4744
O 0.7729 0.4893 0.0256
O 0.9904 0.7251 0.9909
O 0.9904 0.7749 0.5091
O 0.9969 0.5114 0.2263
O 0.9969 0.9886 0.2737

Main lines, sorted by position (2θ from 10° to 80°):
d = 4.864 Å, 2θ 18.2, rel. 12
d = 4.212 Å, 2θ 21.1, rel. 16
d = 2.979 Å, 2θ 30.0, rel. 100
d = 2.540 Å, 2θ 35.3, rel. 12
d = 2.106 Å, 2θ 42.9, rel. 35
d = 1.933 Å, 2θ 47.0, rel. 8
d = 1.720 Å, 2θ 53.3, rel. 39
d = 1.489 Å, 2θ 62.3, rel. 20
d = 1.333 Å, 2θ 70.7, rel. 12
d = 1.216 Å, 2θ 78.7, rel. 6

The following is a theoretical powder diffractogram of KSrNdMnO6. It was derived from a GGA+U-relaxed structure, using Cu Kα, 1.54184 Å.

Crystal structure
Cell lengths 5.9668, 5.9668, 5.9668 Å; angles 60.00, 60.00, 60.00 degrees
Fractional coordinates of all 10 atoms:
K 0.0000 0.0000 0.0000
Sr 0.5000 0.5000 0.5000
Nd 0.7500 0.7500 0.7500
Mn 0.2500 0.2500 0.2500
O 0.0237 0.0237 0.4763
O 0.0237 0.4763 0.0237
O 0.0237 0.4763 0.4763
O 0.4763 0.0237 0.0237
O 0.4763 0.0237 0.4763
O 0.4763 0.4763 0.0237

Main lines, sorted by position (2θ from 10° to 80°):
d = 4.872 Å, 2θ 18.2, rel. 17
d = 4.219 Å, 2θ 21.1, rel. 16
d = 2.983 Å, 2θ 30.0, rel. 100
d = 2.544 Å, 2θ 35.3, rel. 16
d = 2.110 Å, 2θ 42.9, rel. 36
d = 1.936 Å, 2θ 46.9, rel. 10
d = 1.722 Å, 2θ 53.2, rel. 38
d = 1.492 Å, 2θ 62.2, rel. 21
d = 1.334 Å, 2θ 70.6, rel. 18
d = 1.218 Å, 2θ 78.5, rel. 7

The following is a theoretical powder diffractogram of KNdMnWO6. It was derived from a GGA+U-relaxed structure, using Cu Kα, 1.54184 Å.

Crystal structure
Cell lengths 5.6625, 5.7582, 8.2704 Å; angles 90.00, 90.54, 90.00 degrees
Fractional coordinates of all 20 atoms:
K 0.2453 0.0000 0.0020
K 0.7547 0.5000 0.9980
Nd 0.2551 0.0692 0.5010
Nd 0.7449 0.5692 0.4990
Mn 0.2524 0.5245 0.7535
Mn 0.7476 0.0245 0.2465
W 0.2393 0.5156 0.2511
W 0.7607 0.0156 0.7489
O 0.0363 0.2065 0.7543
O 0.0599 0.2303 0.2422
O 0.1638 0.4870 0.4953
O 0.2915 0.5236 0.0279
O 0.4481 0.7798 0.3122
O 0.4836 0.8126 0.6866
O 0.5164 0.3126 0.3134
O 0.5519 0.2798 0.6878
O 0.7085 0.0236 0.9721
O 0.8362 0.9870 0.5047
O 0.9401 0.7303 0.7578
O 0.9637 0.7065 0.2457

Main lines, sorted by position (2θ from 10° to 80°):
d = 8.270 Å, 2θ 10.7, rel. 36
d = 4.726 Å, 2θ 18.8, rel. 28
d = 2.898 Å, 2θ 30.9, rel. 69
d = 2.879 Å, 2θ 31.1, rel. 100
d = 2.831 Å, 2θ 31.6, rel. 33
d = 2.068 Å, 2θ 43.8, rel. 20
d = 2.019 Å, 2θ 44.9, rel. 35
d = 1.679 Å, 2θ 54.7, rel. 23
d = 1.662 Å, 2θ 55.3, rel. 19
d = 1.640 Å, 2θ 56.1, rel. 15

The following is a theoretical powder diffractogram of K4MnO4. It was derived from a GGA+U-relaxed structure, using Cu Kα, 1.54184 Å.

Crystal structure
Cell lengths 6.3372, 6.5423, 9.5305 Å; angles 78.85, 71.51, 67.24 degrees
Fractional coordinates of all 18 atoms:
K 0.0150 0.2751 0.4356
K 0.0868 0.7601 0.1576
K 0.2708 0.2527 0.0299
K 0.4624 0.2232 0.6235
K 0.5376 0.7768 0.3765
K 0.7292 0.7473 0.9701
K 0.9132 0.2399 0.8424
K 0.9850 0.7249 0.5644
Mn 0.3439 0.7327 0.7512
Mn 0.6561 0.2673 0.2488
O 0.1720 0.5464 0.8072
O 0.2022 0.9609 0.6296
O 0.3318 0.9010 0.8885
O 0.3666 0.4602 0.3418
O 0.6334 0.5398 0.6582
O 0.6682 0.0990 0.1115
O 0.7978 0.0391 0.3704
O 0.8280 0.4536 0.1928

Main lines, sorted by position (2θ from 10° to 80°):
d = 5.480 Å, 2θ 16.2, rel. 30
d = 3.006 Å, 2θ 29.7, rel. 100
d = 2.950 Å, 2θ 30.3, rel. 65
d = 2.919 Å, 2θ 30.6, rel. 57
d = 2.679 Å, 2θ 33.5, rel. 67
d = 2.632 Å, 2θ 34.1, rel. 68
d = 2.483 Å, 2θ 36.2, rel. 30
d = 2.440 Å, 2θ 36.8, rel. 48
d = 1.836 Å, 2θ 49.6, rel. 22
d = 1.777 Å, 2θ 51.4, rel. 28

The following is a theoretical powder diffractogram of KMn16O32. It was derived from a GGA+U-relaxed structure, using Cu Kα, 1.54184 Å.

Crystal structure
Cell lengths 9.8937, 5.8838, 9.9435 Å; angles 90.00, 90.16, 90.00 degrees
Fractional coordinates of all 49 atoms:
K 0.0000 0.0000 0.0000
Mn 0.1509 0.5000 0.3314
Mn 0.1528 0.0000 0.3334
Mn 0.1687 0.2502 0.6484
Mn 0.1687 0.7498 0.6484
Mn 0.3329 0.5000 0.8483
Mn 0.3348 0.0000 0.8466
Mn 0.3491 0.2502 0.1654
Mn 0.3491 0.7498 0.1654
Mn 0.6516 0.2502 0.8308
Mn 0.6516 0.7498 0.8308
Mn 0.6659 0.0000 0.1497
Mn 0.6680 0.5000 0.1479
Mn 0.8322 0.2501 0.3479
Mn 0.8322 0.7499 0.3479
Mn 0.8482 0.0000 0.6632
Mn 0.8500 0.5000 0.6650
O 0.0435 0.0000 0.6631
O 0.0441 0.5000 0.6616
O 0.1538 0.2482 0.2017
O 0.1538 0.7518 0.2017
O 0.1659 0.2506 0.4556
O 0.1659 0.7494 0.4556
O 0.2023 0.2482 0.8429
O 0.2023 0.7518 0.8429
O 0.2985 0.0000 0.6538
O 0.2983 0.5000 0.6550
O 0.3315 0.0000 0.0409
O 0.3332 0.5000 0.0415
O 0.3447 0.5000 0.2944
O 0.3460 0.0000 0.2945
O 0.4579 0.2505 0.8361
O 0.4579 0.7495 0.8361
O 0.5428 0.2506 0.1600
O 0.5428 0.7494 0.1600
O 0.6550 0.0000 0.7017
O 0.6562 0.5000 0.7018
O 0.6674 0.5000 0.9547
O 0.6691 0.0000 0.9553
O 0.7024 0.0000 0.3425
O 0.7026 0.5000 0.3413
O 0.7985 0.2481 0.1534
O 0.7985 0.7519 0.1534
O 0.8352 0.2506 0.5408
O 0.8352 0.7494 0.5408
O 0.8469 0.2482 0.7948
O 0.8469 0.7518 0.7948
O 0.9575 0.0000 0.3330
O 0.9568 0.5000 0.3348

Main lines, sorted by position (2θ from 10° to 80°):
d = 7.013 Å, 2θ 12.6, rel. 100
d = 4.959 Å, 2θ 17.9, rel. 91
d = 3.142 Å, 2θ 28.4, rel. 38
d = 3.132 Å, 2θ 28.5, rel. 38
d = 2.452 Å, 2θ 36.7, rel. 82
d = 2.198 Å, 2θ 41.1, rel. 25
d = 1.865 Å, 2θ 48.8, rel. 23
d = 1.860 Å, 2θ 49.0, rel. 23
d = 1.563 Å, 2θ 59.1, rel. 26
d = 1.559 Å, 2θ 59.3, rel. 23

The following is a theoretical powder diffractogram of K3Mn2O8. It was derived from a GGA+U-relaxed structure, using Cu Kα, 1.54184 Å.

Crystal structure
Cell lengths 7.9790, 7.9790, 7.9790 Å; angles 43.30, 43.30, 43.30 degrees
Fractional coordinates of all 13 atoms:
K 0.0000 0.0000 0.0000
K 0.2050 0.2050 0.2050
K 0.7950 0.7950 0.7950
Mn 0.4070 0.4070 0.4070
Mn 0.5930 0.5930 0.5930
O 0.2632 0.7200 0.7200
O 0.2800 0.2800 0.7368
O 0.2800 0.7368 0.2800
O 0.3316 0.3316 0.3316
O 0.6684 0.6684 0.6684
O 0.7200 0.2632 0.7200
O 0.7200 0.7200 0.2632
O 0.7368 0.2800 0.2800

Main lines, sorted by position (2θ from 10° to 80°):
d = 4.963 Å, 2θ 17.9, rel. 26
d = 3.301 Å, 2θ 27.0, rel. 100
d = 2.944 Å, 2θ 30.4, rel. 96
d = 2.197 Å, 2θ 41.1, rel. 46
d = 1.993 Å, 2θ 45.5, rel. 23
d = 1.761 Å, 2θ 51.9, rel. 22
d = 1.700 Å, 2θ 54.0, rel. 16
d = 1.472 Å, 2θ 63.2, rel. 19
d = 1.440 Å, 2θ 64.8, rel. 18
d = 1.296 Å, 2θ 73.0, rel. 14

The following is a theoretical powder diffractogram of KMnO4. It was derived from a GGA+U-relaxed structure, using Cu Kα, 1.54184 Å.

Crystal structure
Cell lengths 9.2319, 5.9293, 7.5773 Å; angles 90.00, 90.00, 90.00 degrees
Fractional coordinates of all 24 atoms:
K 0.1811 0.2500 0.1569
K 0.3189 0.7500 0.6569
K 0.6811 0.2500 0.3431
K 0.8189 0.7500 0.8431
Mn 0.0594 0.2500 0.6891
Mn 0.4406 0.7500 0.1891
Mn 0.5594 0.2500 0.8109
Mn 0.9406 0.7500 0.3109
O 0.0783 0.0265 0.8108
O 0.0783 0.4735 0.8108
O 0.0999 0.7500 0.3983
O 0.1815 0.2500 0.5363
O 0.3185 0.7500 0.0363
O 0.4001 0.2500 0.8983
O 0.4217 0.5265 0.3108
O 0.4217 0.9735 0.3108
O 0.5783 0.0265 0.6892
O 0.5783 0.4735 0.6892
O 0.5999 0.7500 0.1017
O 0.6815 0.2500 0.9637
O 0.8185 0.7500 0.4637
O 0.9001 0.2500 0.6017
O 0.9217 0.5265 0.1892
O 0.9217 0.9735 0.1892

Main lines, sorted by position (2θ from 10° to 80°):
d = 4.670 Å, 2θ 19.0, rel. 43
d = 3.789 Å, 2θ 23.5, rel. 33
d = 3.642 Å, 2θ 24.4, rel. 81
d = 3.283 Å, 2θ 27.2, rel. 100
d = 3.017 Å, 2θ 29.6, rel. 82
d = 2.965 Å, 2θ 30.1, rel. 45
d = 2.645 Å, 2θ 33.9, rel. 20
d = 2.264 Å, 2θ 39.8, rel. 25
d = 2.208 Å, 2θ 40.9, rel. 41
d = 1.722 Å, 2θ 53.2, rel. 18

Copy entry 7 word for word.
The following is a theoretical powder diffractogram of K3Mn2O8. It was derived from a GGA+U-relaxed structure, using Cu Kα, 1.54184 Å.

Crystal structure
Cell lengths 7.9790, 7.9790, 7.9790 Å; angles 43.30, 43.30, 43.30 degrees
Fractional coordinates of all 13 atoms:
K 0.0000 0.0000 0.0000
K 0.2050 0.2050 0.2050
K 0.7950 0.7950 0.7950
Mn 0.4070 0.4070 0.4070
Mn 0.5930 0.5930 0.5930
O 0.2632 0.7200 0.7200
O 0.2800 0.2800 0.7368
O 0.2800 0.7368 0.2800
O 0.3316 0.3316 0.3316
O 0.6684 0.6684 0.6684
O 0.7200 0.2632 0.7200
O 0.7200 0.7200 0.2632
O 0.7368 0.2800 0.2800

Main lines, sorted by position (2θ from 10° to 80°):
d = 4.963 Å, 2θ 17.9, rel. 26
d = 3.301 Å, 2θ 27.0, rel. 100
d = 2.944 Å, 2θ 30.4, rel. 96
d = 2.197 Å, 2θ 41.1, rel. 46
d = 1.993 Å, 2θ 45.5, rel. 23
d = 1.761 Å, 2θ 51.9, rel. 22
d = 1.700 Å, 2θ 54.0, rel. 16
d = 1.472 Å, 2θ 63.2, rel. 19
d = 1.440 Å, 2θ 64.8, rel. 18
d = 1.296 Å, 2θ 73.0, rel. 14